# 1
# Na2TlCoF6
Simulated X-ray diffraction stick pattern, Cu Kα (weighted mean of Kα1 and Kα2). Input: the PBE+U geometry in the Materials Project.
Lines closer than 0.1° are merged.

Principal peaks in the range 5 to 70 degrees two-theta, by angle:
| 2theta | d (Å) | I (rel.) |
| --- | --- | --- |
| 17.53 | 5.059 | 30 |
| 20.27 | 4.381 | 100 |
| 28.82 | 3.098 | 98 |
| 33.93 | 2.642 | 34 |
| 41.21 | 2.190 | 41 |
| 45.10 | 2.010 | 24 |
| 46.34 | 1.959 | 40 |
| 51.07 | 1.788 | 37 |

Crystal structure
Unit cell a=6.1955 b=6.1955 c=6.1955 alpha=60.00 beta=60.00 gamma=60.00
Sites, in units of the cell vectors:
Na 0.2500 0.2500 0.2500
Na 0.7500 0.7500 0.7500
Tl 0.0000 0.0000 0.0000
Co 0.5000 0.5000 0.5000
F 0.2863 0.2863 0.7137
F 0.2863 0.7137 0.2863
F 0.2863 0.7137 0.7137
F 0.7137 0.2863 0.2863
F 0.7137 0.2863 0.7137
F 0.7137 0.7137 0.2863

***

# 2
# FeBiO3
Simulated X-ray diffraction stick pattern, Cu Kα (weighted mean of Kα1 and Kα2). Input: the PBE+U geometry in the Materials Project.
Lines closer than 0.1° are merged.

Principal peaks in the range 5 to 70 degrees two-theta, by angle:
| 2theta | d (Å) | I (rel.) |
| --- | --- | --- |
| 18.18 | 4.880 | 31 |
| 23.72 | 3.751 | 22 |
| 30.05 | 2.974 | 100 |
| 33.79 | 2.653 | 35 |
| 38.63 | 2.331 | 22 |
| 44.29 | 2.045 | 20 |
| 50.85 | 1.796 | 25 |
| 58.14 | 1.587 | 32 |

Crystal structure
Unit cell a=3.7514 b=3.7514 c=4.8798 alpha=90.00 beta=90.00 gamma=90.00
Sites, in units of the cell vectors:
Fe 0.0000 0.0000 0.0000
Bi 0.5000 0.5000 0.4275
O 0.0000 0.0000 0.6199
O 0.0000 0.5000 0.1458
O 0.5000 0.0000 0.1458